This entry pairs a crystal structure of Zr4ZnRh with its computed XRD peak list. Radiation: Cu Ka. Structure: a structure optimized by DFT (PBE).

Largest 6 diffraction maxima, by intensity, 2θ = 5–70°:
Position (°2θ), Rel. int.
34.3, 100
42.6, 47
38.8, 35
43.4, 34
69.1, 22
60.7, 18

```
data_Zr4ZnRh
_cell_length_a 6.714
_cell_length_b 6.714
_cell_length_c 5.319
_cell_angle_alpha 90.00
_cell_angle_beta 90.00
_cell_angle_gamma 90.00
_space_group_name_H-M_alt 'I 4 2 2'
_space_group_IT_number 97
_space_group_name_Hall 'I 4 2'
loop_
_atom_site_label
_atom_site_type_symbol
_atom_site_fract_x
_atom_site_fract_y
_atom_site_fract_z
_atom_site_occupancy
Zr1 Zr 0.159 0.341 0.250 1
Zn1 Zn 0.000 0.000 0.000 1
Rh1 Rh 0.000 0.000 0.500 1
```

***

This entry pairs a crystal structure of ZrZn3Rh4 with its computed XRD peak list. Radiation: Cu Ka. Structure: a structure optimized by DFT (PBE).

Largest 6 diffraction maxima, by intensity, 2θ = 5–70°:
Position (°2θ), Rel. int.
41.2, 100
41.4, 98
59.8, 32
28.9, 7
51.0, 1
67.6, 1

```
data_ZrZn3Rh4
_cell_length_a 4.3860
_cell_length_b 4.3860
_cell_length_c 21.3339
_cell_angle_alpha 90.00
_cell_angle_beta 90.00
_cell_angle_gamma 120.00
_space_group_name_H-M_alt 'R -3 m'
_space_group_IT_number 166
_space_group_name_Hall '-R 3 2"'
loop_
_atom_site_label
_atom_site_type_symbol
_atom_site_fract_x
_atom_site_fract_y
_atom_site_fract_z
_atom_site_occupancy
Zr1 Zr 0.0000 0.0000 0.0000 1
Zn1 Zn 0.0000 0.0000 0.2495 1
Zn2 Zn 0.0000 0.0000 0.5000 1
Rh1 Rh 0.0000 0.0000 0.1271 1
Rh2 Rh 0.0000 0.0000 0.3780 1
```

***

This entry pairs a crystal structure of Zr2Zn16Rh with its computed XRD peak list. Radiation: Cu Ka. Structure: a structure optimized by DFT (PBE).

Largest 6 diffraction maxima, by intensity, 2θ = 5–70°:
Position (°2θ), Rel. int.
41.2, 100
41.0, 72
46.3, 66
35.3, 42
42.2, 39
41.9, 35

```
data_Zr2Zn16Rh
_cell_length_a 8.8033
_cell_length_b 8.8033
_cell_length_c 12.9469
_cell_angle_alpha 90.00
_cell_angle_beta 90.00
_cell_angle_gamma 120.00
_space_group_name_H-M_alt 'R 3 m'
_space_group_IT_number 160
_space_group_name_Hall 'R 3 -2"'
loop_
_atom_site_label
_atom_site_type_symbol
_atom_site_fract_x
_atom_site_fract_y
_atom_site_fract_z
_atom_site_occupancy
Zr1 Zr 0.0000 0.0000 0.0000 1
Zr2 Zr 0.0000 0.0000 0.3364 1
Zn1 Zn 0.0000 0.0000 0.7668 1
Zn2 Zn 0.0005 0.5003 0.1627 1
Zn3 Zn 0.0028 0.5014 0.8095 1
Zn4 Zn 0.0397 0.3724 0.3276 1
Zn5 Zn 0.1773 0.3546 0.8476 1
Rh1 Rh 0.0000 0.0000 0.5609 1
```

***

This entry pairs a crystal structure of Zr6ZnRh with its computed XRD peak list. Radiation: Cu Ka. Structure: a structure optimized by DFT (PBE).

Largest 6 diffraction maxima, by intensity, 2θ = 5–70°:
Position (°2θ), Rel. int.
35.8, 100
37.5, 45
40.0, 41
32.7, 35
39.9, 33
42.2, 30

```
data_Zr6ZnRh
_cell_length_a 5.485
_cell_length_b 5.495
_cell_length_c 5.501
_cell_angle_alpha 92.87
_cell_angle_beta 93.04
_cell_angle_gamma 93.05
_space_group_name_H-M_alt 'P -1'
_space_group_IT_number 2
_space_group_name_Hall '-P 1'
loop_
_atom_site_label
_atom_site_type_symbol
_atom_site_fract_x
_atom_site_fract_y
_atom_site_fract_z
_atom_site_occupancy
Zr1 Zr 0.004 0.254 0.024 1
Zr2 Zr 0.246 0.974 0.496 1
Zr3 Zr 0.473 0.496 0.746 1
Zn1 Zn 0.500 0.000 0.000 1
Rh1 Rh 0.000 0.500 0.500 1
```

***

This entry pairs a crystal structure of ZrZn2Rh2 with its computed XRD peak list. Radiation: Cu Ka. Structure: a structure optimized by DFT (PBE).

Largest 6 diffraction maxima, by intensity, 2θ = 5–70°:
Position (°2θ), Rel. int.
39.2, 100
39.7, 93
44.0, 35
45.2, 33
48.2, 26
64.9, 21

```
data_ZrZn2Rh2
_cell_length_a 8.534
_cell_length_b 4.009
_cell_length_c 6.066
_cell_angle_alpha 90.00
_cell_angle_beta 131.33
_cell_angle_gamma 90.00
_space_group_name_H-M_alt 'C 1 2/m 1'
_space_group_IT_number 12
_space_group_name_Hall '-C 2y'
loop_
_atom_site_label
_atom_site_type_symbol
_atom_site_fract_x
_atom_site_fract_y
_atom_site_fract_z
_atom_site_occupancy
Zr1 Zr 0.000 0.000 0.000 1
Zn1 Zn 0.189 0.000 0.607 1
Rh1 Rh 0.086 0.500 0.790 1
```

***

This entry pairs a crystal structure of Zr2ZnRh4 with its computed XRD peak list. Radiation: Cu Ka. Structure: a structure optimized by DFT (PBE).

Largest 6 diffraction maxima, by intensity, 2θ = 5–70°:
Position (°2θ), Rel. int.
39.1, 100
10.2, 72
47.4, 49
34.6, 33
45.8, 32
64.8, 30

```
data_Zr2ZnRh4
_cell_length_a 3.838
_cell_length_b 3.838
_cell_length_c 17.395
_cell_angle_alpha 90.00
_cell_angle_beta 90.00
_cell_angle_gamma 90.00
_space_group_name_H-M_alt 'I 4/m m m'
_space_group_IT_number 139
_space_group_name_Hall '-I 4 2'
loop_
_atom_site_label
_atom_site_type_symbol
_atom_site_fract_x
_atom_site_fract_y
_atom_site_fract_z
_atom_site_occupancy
Zr1 Zr 0.000 0.000 0.121 1
Zn1 Zn 0.000 0.000 0.500 1
Rh1 Rh 0.000 0.000 0.359 1
Rh2 Rh 0.000 0.500 0.250 1
```

***

This entry pairs a crystal structure of Zr4Zn3Rh with its computed XRD peak list. Radiation: Cu Ka. Structure: a structure optimized by DFT (PBE).

Largest 6 diffraction maxima, by intensity, 2θ = 5–70°:
Position (°2θ), Rel. int.
38.4, 100
37.9, 52
68.7, 34
54.6, 17
69.8, 16
56.2, 8

```
data_Zr4Zn3Rh
_cell_length_a 3.361
_cell_length_b 3.361
_cell_length_c 13.085
_cell_angle_alpha 90.00
_cell_angle_beta 90.00
_cell_angle_gamma 90.00
_space_group_name_H-M_alt 'P 4/m m m'
_space_group_IT_number 123
_space_group_name_Hall '-P 4 2'
loop_
_atom_site_label
_atom_site_type_symbol
_atom_site_fract_x
_atom_site_fract_y
_atom_site_fract_z
_atom_site_occupancy
Zr1 Zr 0.000 0.000 0.121 1
Zr2 Zr 0.000 0.000 0.374 1
Zn1 Zn 0.500 0.500 0.248 1
Zn2 Zn 0.500 0.500 0.500 1
Rh1 Rh 0.500 0.500 0.000 1
```

***

This entry pairs a crystal structure of Zr3Rh4 with its computed XRD peak list. Radiation: Cu Ka. Structure: a structure optimized by DFT (PBE).

Largest 6 diffraction maxima, by intensity, 2θ = 5–70°:
Position (°2θ), Rel. int.
38.8, 100
39.2, 80
56.3, 22
36.2, 10
40.3, 8
44.6, 7

```
data_Zr3Rh4
_cell_length_a 12.2674
_cell_length_b 12.2674
_cell_length_c 5.6113
_cell_angle_alpha 90.00
_cell_angle_beta 90.00
_cell_angle_gamma 120.00
_space_group_name_H-M_alt 'R -3'
_space_group_IT_number 148
_space_group_name_Hall '-R 3'
loop_
_atom_site_label
_atom_site_type_symbol
_atom_site_fract_x
_atom_site_fract_y
_atom_site_fract_z
_atom_site_occupancy
Zr1 Zr 0.0390 0.2161 0.2247 1
Rh1 Rh 0.0000 0.0000 0.0000 1
Rh2 Rh 0.0000 0.0000 0.5000 1
Rh3 Rh 0.0443 0.2533 0.7130 1
```

***

This entry pairs a crystal structure of ZrRh2 with its computed XRD peak list. Radiation: Cu Ka. Structure: a structure optimized by DFT (PBE).

Largest 6 diffraction maxima, by intensity, 2θ = 5–70°:
Position (°2θ), Rel. int.
38.8, 100
38.5, 64
40.1, 49
41.7, 48
46.5, 31
64.2, 23

```
data_ZrRh2
_cell_length_a 5.546
_cell_length_b 4.335
_cell_length_c 8.239
_cell_angle_alpha 90.00
_cell_angle_beta 90.00
_cell_angle_gamma 90.00
_space_group_name_H-M_alt 'P n m a'
_space_group_IT_number 62
_space_group_name_Hall '-P 2ac 2n'
loop_
_atom_site_label
_atom_site_type_symbol
_atom_site_fract_x
_atom_site_fract_y
_atom_site_fract_z
_atom_site_occupancy
Zr1 Zr 0.185 0.250 0.107 1
Rh1 Rh 0.052 0.250 0.772 1
Rh2 Rh 0.169 0.250 0.436 1
```

***

This entry pairs a crystal structure of Zr5Rh3 with its computed XRD peak list. Radiation: Cu Ka. Structure: a structure optimized by DFT (PBE).

Largest 6 diffraction maxima, by intensity, 2θ = 5–70°:
Position (°2θ), Rel. int.
38.0, 100
38.8, 51
34.4, 25
39.2, 23
60.1, 16
33.9, 15

```
data_Zr5Rh3
_cell_length_a 7.9552
_cell_length_b 7.9552
_cell_length_c 17.1730
_cell_angle_alpha 90.00
_cell_angle_beta 90.00
_cell_angle_gamma 120.00
_space_group_name_H-M_alt 'P 61 2 2'
_space_group_IT_number 178
_space_group_name_Hall 'P 61 2 (0 0 5)'
loop_
_atom_site_label
_atom_site_type_symbol
_atom_site_fract_x
_atom_site_fract_y
_atom_site_fract_z
_atom_site_occupancy
Zr1 Zr 0.0000 0.2518 0.3333 1
Zr2 Zr 0.0132 0.2348 0.9952 1
Zr3 Zr 0.2391 0.6196 0.5833 1
Zr4 Zr 0.3196 0.6598 0.0833 1
Rh1 Rh 0.0000 0.3814 0.8333 1
Rh2 Rh 0.0334 0.4251 0.1912 1
```

***

This entry pairs a crystal structure of ZrRh with its computed XRD peak list. Radiation: Cu Ka. Structure: a structure optimized by DFT (PBE).

Largest 6 diffraction maxima, by intensity, 2θ = 5–70°:
Position (°2θ), Rel. int.
42.2, 100
38.0, 80
38.7, 80
35.6, 64
33.7, 53
34.4, 46

```
data_ZrRh
_cell_length_a 5.190
_cell_length_b 5.372
_cell_length_c 10.633
_cell_angle_alpha 90.00
_cell_angle_beta 90.00
_cell_angle_gamma 90.00
_space_group_name_H-M_alt 'P 21 21 21'
_space_group_IT_number 19
_space_group_name_Hall 'P 2ac 2ab'
loop_
_atom_site_label
_atom_site_type_symbol
_atom_site_fract_x
_atom_site_fract_y
_atom_site_fract_z
_atom_site_occupancy
Zr1 Zr 0.148 0.078 0.018 1
Zr2 Zr 0.156 0.625 0.801 1
Rh1 Rh 0.161 0.882 0.268 1
Rh2 Rh 0.168 0.580 0.054 1
```

***

This entry pairs a crystal structure of Zr4Rh with its computed XRD peak list. Radiation: Cu Ka. Structure: a structure optimized by DFT (PBE).

Largest 6 diffraction maxima, by intensity, 2θ = 5–70°:
Position (°2θ), Rel. int.
36.6, 100
36.8, 48
35.0, 35
37.0, 30
37.1, 28
34.8, 18

```
data_Zr4Rh
_cell_length_a 5.763
_cell_length_b 14.203
_cell_length_c 5.742
_cell_angle_alpha 90.00
_cell_angle_beta 116.05
_cell_angle_gamma 90.00
_space_group_name_H-M_alt 'C 1 c 1'
_space_group_IT_number 9
_space_group_name_Hall 'C -2yc'
loop_
_atom_site_label
_atom_site_type_symbol
_atom_site_fract_x
_atom_site_fract_y
_atom_site_fract_z
_atom_site_occupancy
Zr1 Zr 0.000 0.048 0.000 1
Zr2 Zr 0.016 0.443 0.954 1
Zr3 Zr 0.302 0.251 0.278 1
Zr4 Zr 0.346 0.157 0.822 1
Rh1 Rh 0.392 0.356 0.857 1
```